Diffraction record for Al45V7. The powder X-ray diffraction pattern is simulated, not measured: it uses a cell relaxed with PBE and Cu Kα.
Intensities are scaled so that the largest is 100.

Structural model:
a b c (Å): 11.106 11.106 11.084
angles (deg): 105.92 105.92 40.03
Element x y z (fractional)
Al1 0.000 0.000 0.000
Al2 0.020 0.391 0.633
Al3 0.021 0.021 0.257
Al4 0.028 0.642 0.644
Al5 0.113 0.749 0.510
Al6 0.116 0.116 0.728
Al7 0.125 0.125 0.138
Al8 0.126 0.494 0.878
Al9 0.135 0.504 0.148
Al10 0.207 0.207 0.990
Al11 0.251 0.887 0.490
Al12 0.260 0.649 0.877
Al13 0.275 0.275 0.508
Al14 0.278 0.651 0.294
Al15 0.349 0.722 0.706
Al16 0.351 0.740 0.123
Al17 0.358 0.972 0.356
Al18 0.371 0.371 0.387
Al19 0.391 0.020 0.633
Al20 0.410 0.410 0.655
Al21 0.417 0.417 0.058
Al22 0.494 0.126 0.878
Al23 0.496 0.865 0.852
Al24 0.504 0.135 0.148
Al25 0.506 0.874 0.122
Al26 0.583 0.583 0.942
Al27 0.590 0.590 0.345
Al28 0.609 0.980 0.367
Al29 0.629 0.629 0.613
Al30 0.642 0.028 0.644
Al31 0.649 0.260 0.877
Al32 0.651 0.278 0.294
Al33 0.722 0.349 0.706
Al34 0.725 0.725 0.492
Al35 0.740 0.351 0.123
Al36 0.749 0.113 0.510
Al37 0.793 0.793 0.010
Al38 0.865 0.496 0.852
Al39 0.874 0.506 0.122
Al40 0.875 0.875 0.862
Al41 0.884 0.884 0.272
Al42 0.887 0.251 0.490
Al43 0.972 0.358 0.356
Al44 0.979 0.979 0.743
Al45 0.980 0.609 0.367
V1 0.084 0.744 0.081
V2 0.249 0.249 0.261
V3 0.256 0.916 0.919
V4 0.500 0.500 0.500
V5 0.744 0.084 0.081
V6 0.751 0.751 0.739
V7 0.916 0.256 0.919

Most intense lines, 2θ = 15–90°, by intensity:
Position (°2θ), intensity
43.74, 100
43.40, 84
40.83, 61
74.95, 56
40.49, 52
41.74, 43
40.27, 40
43.22, 34
43.06, 33
41.12, 32
41.54, 30
43.54, 29